Theoretical PXRD pattern of NaAlZnH6 for Cu Kα (weighted mean of Kα1 and Kα2), from a GGA-PBE-relaxed structure.
No peak broadening, texture or thermal motion is included.

Crystal structure
```
NaAlZnH6
1.0
4.6836 0.0000 0.0000
-2.3418 4.0562 0.0000
0.0000 0.0000 9.7362
Na Al Zn H
2 2 2 12
direct
0.0000 0.0000 0.0000
0.0000 0.0000 0.5000
0.3333 0.6667 0.2500
0.6667 0.3333 0.7500
0.3333 0.6667 0.7500
0.6667 0.3333 0.2500
0.0130 0.3690 0.1479
0.0130 0.6440 0.3521
0.3560 0.3690 0.3521
0.3560 0.9870 0.1479
0.3690 0.0130 0.6479
0.3690 0.3560 0.8521
0.6310 0.6440 0.1479
0.6310 0.9870 0.3521
0.6440 0.0130 0.8521
0.6440 0.6310 0.6479
0.9870 0.3560 0.6479
0.9870 0.6310 0.8521
```

Principal peaks in the range 2θ from 10° to 90°, most intense first:
(hkl)  Position (°2θ)  Rel. int.
1 0 2  28.65  100
1 1 0  38.44  58
0 0 2  18.22  56
1 1 4  54.36  44
1 0 1  23.76  40
1 1 2  42.85  32
2 0 2  48.63  22
0 0 4  36.93  20
2 1 2  63.63  18
1 0 3  35.42  15